[1]
For ErTm6Te2Pd2, a cell relaxed with GGA-PBE gives the simulated XRD peak list in this record (Cu Kα, 1.54184 Å).

Top 8 peaks for 2θ = 10–90°, by angle:
2θ (°), d [Å], intensity, index
28.68, 3.113, 31.8, 1 3 0
30.21, 2.959, 69.2, 1 1 2
33.09, 2.707, 60.9, 0 3 3
33.92, 2.643, 100.0, 1 4 1
34.41, 2.606, 47.5, 1 3 2
36.50, 2.462, 21.6, 1 0 3
46.61, 1.948, 28.1, 2 0 0
58.35, 1.581, 24.2, 2 3 3

Structural model:
a = 3.8969 Å, b = 15.5330 Å, c = 9.5286 Å
α = 90.00°, β = 90.00°, γ = 90.00°
Space group Imm2 (No. 44)
Inequivalent atoms, fractional coordinates:
Er: 0.0000 0.0000 0.0000 x2
Tm: 0.0000 0.1295 0.5835 x4
Tm: 0.0000 0.3170 0.3747 x4
Tm: 0.0000 0.3562 0.7344 x4
Te: 0.0000 0.0000 0.3380 x2
Te: 0.0000 0.5000 0.2349 x2
Pd: 0.0000 0.2372 0.0707 x4

[2]
For Er4Tm3Te2Pd2, a cell relaxed with GGA-PBE gives the simulated XRD peak list in this record (Cu Kα, 1.54184 Å).

Top 8 peaks for 2θ = 10–90°, by angle:
2θ (°), d [Å], intensity, index
28.62, 3.119, 32.1, 1 3 0
30.15, 2.965, 70.1, 1 1 2
32.99, 2.715, 60.7, 0 3 3
33.86, 2.648, 100.0, 1 4 1
34.34, 2.611, 47.0, 1 3 2
36.42, 2.467, 22.1, 1 0 3
46.59, 1.949, 34.5, 2 0 0
58.27, 1.583, 30.6, 2 3 3

Structural model:
a = 3.9000 Å, b = 15.5766 Å, c = 9.5547 Å
α = 90.00°, β = 90.00°, γ = 90.00°
Space group Imm2 (No. 44)
Inequivalent atoms, fractional coordinates:
Er: 0.0000 0.1292 0.0000 x4
Er: 0.0000 0.3565 0.1507 x4
Tm: 0.0000 0.0000 0.4165 x2
Tm: 0.0000 0.3173 0.7917 x4
Te: 0.0000 0.0000 0.7539 x2
Te: 0.0000 0.5000 0.6525 x2
Pd: 0.0000 0.2369 0.4868 x4

[3]
For Er2Zn3Pd4, a cell relaxed with GGA-PBE gives the simulated XRD peak list in this record (Cu Kα, 1.54184 Å).

Top 8 peaks for 2θ = 10–90°, by angle:
2θ (°), d [Å], intensity, index
33.65, 2.663, 30.4, 1 3 2
35.94, 2.499, 100.0, 1 5 1
36.39, 2.469, 52.0, 2 2 1
37.37, 2.406, 61.4, 0 2 3
37.80, 2.380, 31.3, 0 6 1
40.12, 2.247, 96.6, 2 0 2
40.33, 2.237, 30.0, 2 4 0
61.78, 1.502, 24.9, 2 6 3

Structural model:
a = 5.5666 Å, b = 15.0303 Å, c = 7.6198 Å
α = 90.00°, β = 90.00°, γ = 90.00°
Space group Cmce (No. 64)
Inequivalent atoms, fractional coordinates:
Er: 0.0000 0.1128 0.0811 x8
Zn: 0.0000 0.0000 0.5000 x4
Zn: 0.2500 0.2275 0.7500 x8
Pd: 0.0000 0.1771 0.4751 x8
Pd: 0.2500 0.0562 0.7500 x8

[4]
For Pm3Sm2Er, a cell relaxed with GGA-PBE gives the simulated XRD peak list in this record (Cu Kα, 1.54184 Å).

Top 8 peaks for 2θ = 10–90°, by angle:
2θ (°), d [Å], intensity, index
29.43, 3.035, 45.7, 3 1 1
30.66, 2.916, 34.7, 0 0 4
32.36, 2.767, 100.0, 0 2 2
36.77, 2.444, 25.3, 3 1 3
50.28, 1.815, 26.3, 6 0 0
55.59, 1.653, 21.6, 0 2 6
60.05, 1.541, 30.9, 6 0 4
85.44, 1.136, 16.3, 6 0 8

Structural model:
a = 10.8878 Å, b = 6.2857 Å, c = 11.6633 Å
α = 90.00°, β = 90.00°, γ = 90.00°
Space group Cmcm (No. 63)
Inequivalent atoms, fractional coordinates:
Pm: 0.0000 0.0000 0.0000 x4
Pm: 0.1652 0.5000 0.0000 x8
Sm: 0.1671 0.1668 0.2500 x8
Er: 0.0000 0.3327 0.7500 x4

[5]
For PmErSn, a cell relaxed with GGA-PBE gives the simulated XRD peak list in this record (Cu Kα, 1.54184 Å).

Top 8 peaks for 2θ = 10–90°, by angle:
2θ (°), d [Å], intensity, index
21.03, 4.225, 18.6, 1 1 1
24.33, 3.659, 24.2, 2 0 0
34.67, 2.587, 100.0, 2 2 0
40.90, 2.207, 10.3, 3 1 1
49.84, 1.830, 18.1, 4 0 0
62.14, 1.494, 37.6, 4 2 2
73.16, 1.294, 11.7, 4 4 0
83.56, 1.157, 16.8, 6 2 0

Structural model:
a = 7.3182 Å, b = 7.3182 Å, c = 7.3182 Å
α = 90.00°, β = 90.00°, γ = 90.00°
Space group F-43m (No. 216)
Inequivalent atoms, fractional coordinates:
Pm: 0.0000 0.0000 0.0000 x4
Er: 0.0000 0.0000 0.5000 x4
Sn: 0.2500 0.2500 0.7500 x4

[6]
For Pm3Er2Sn3, a cell relaxed with GGA-PBE gives the simulated XRD peak list in this record (Cu Kα, 1.54184 Å).

Top 8 peaks for 2θ = 10–90°, by angle:
2θ (°), d [Å], intensity, index
29.28, 3.050, 20.5, 1 0 2
30.02, 2.976, 35.7, 2 1 0
33.00, 2.714, 100.0, 2 1 1
33.50, 2.675, 85.7, 1 1 2
34.16, 2.625, 42.8, 3 0 0
48.59, 1.874, 20.6, 2 2 2
51.57, 1.772, 28.6, 2 1 3
65.65, 1.422, 18.5, 5 0 2

Structural model:
a = 9.0932 Å, b = 9.0932 Å, c = 6.6171 Å
α = 90.00°, β = 90.00°, γ = 120.00°
Space group P6_3/mcm (No. 193)
Inequivalent atoms, fractional coordinates:
Pm: 0.0000 0.2416 0.2500 x6
Er: 0.3333 0.6667 0.0000 x4
Sn: 0.0000 0.3979 0.7500 x6

[7]
For Pr3ErPt4, a cell relaxed with GGA-PBE gives the simulated XRD peak list in this record (Cu Kα, 1.54184 Å).

Top 8 peaks for 2θ = 10–90°, by angle:
2θ (°), d [Å], intensity, index
31.31, 2.857, 100.0, 0 1 2
33.65, 2.664, 34.4, 2 0 -1
35.00, 2.564, 65.7, 1 1 -2
35.29, 2.543, 79.1, 1 1 2
39.08, 2.305, 66.1, 2 1 -1
39.18, 2.299, 71.2, 0 2 0
39.34, 2.290, 65.9, 2 1 1
52.56, 1.741, 34.8, 1 0 -4

Structural model:
a = 5.6951 Å, b = 4.5982 Å, c = 7.2920 Å
α = 90.00°, β = 90.72°, γ = 90.00°
Space group Pm (No. 6)
Inequivalent atoms, fractional coordinates:
Pr: 0.0000 0.0000 0.0000 x1
Pr: 0.2202 0.0000 0.4956 x1
Pr: 0.7185 0.5000 0.6322 x1
Er: 0.4990 0.5000 0.1333 x1
Pt: 0.0148 0.5000 0.2669 x1
Pt: 0.2119 0.5000 0.7786 x1
Pt: 0.5103 0.0000 0.8742 x1
Pt: 0.6975 0.0000 0.3472 x1

[8]
For Pr3Er3Te2Pt, a cell relaxed with GGA-PBE gives the simulated XRD peak list in this record (Cu Kα, 1.54184 Å).

Top 8 peaks for 2θ = 10–90°, by angle:
2θ (°), d [Å], intensity, index
30.38, 2.942, 85.2, 1 1 1
32.20, 2.780, 63.4, 2 1 0
32.78, 2.732, 100.0, 2 0 1
36.66, 2.452, 38.1, 3 0 0
39.21, 2.297, 57.6, 2 1 1
44.40, 2.040, 31.2, 0 0 2
55.90, 1.645, 26.6, 2 1 2
59.26, 1.559, 39.0, 3 2 1

Structural model:
a = 8.4924 Å, b = 8.4924 Å, c = 4.0805 Å
α = 90.00°, β = 90.00°, γ = 120.00°
Space group P-62m (No. 189)
Inequivalent atoms, fractional coordinates:
Pr: 0.0000 0.5948 0.0000 x3
Er: 0.0000 0.2382 0.5000 x3
Te: 0.3333 0.6667 0.5000 x2
Pt: 0.0000 0.0000 0.0000 x1

[9]
For PrErSi2, a cell relaxed with GGA-PBE gives the simulated XRD peak list in this record (Cu Kα, 1.54184 Å).

Top 8 peaks for 2θ = 10–90°, by angle:
2θ (°), d [Å], intensity, index
27.59, 3.233, 39.7, 1 1 0
29.76, 3.002, 100.0, 1 1 1
31.94, 2.802, 73.0, 1 0 2
32.73, 2.736, 81.9, 0 2 1
35.56, 2.524, 42.9, 1 1 2
36.77, 2.444, 46.8, 0 1 3
40.30, 2.238, 38.8, 1 2 1
51.90, 1.762, 34.5, 1 2 3

Structural model:
a = 3.8894 Å, b = 5.8159 Å, c = 8.0802 Å
α = 90.00°, β = 90.00°, γ = 90.00°
Space group Pmc2_1 (No. 26)
Inequivalent atoms, fractional coordinates:
Pr: 0.0000 0.1353 0.0000 x2
Er: 0.5000 0.3649 0.6409 x2
Si: 0.0000 0.3807 0.3585 x2
Si: 0.5000 0.1311 0.2854 x2

[10]
For PrErSi2, a cell relaxed with GGA-PBE gives the simulated XRD peak list in this record (Cu Kα, 1.54184 Å).

Top 8 peaks for 2θ = 10–90°, by angle:
2θ (°), d [Å], intensity, index
27.61, 3.231, 53.3, 1 1 0
29.70, 3.008, 72.9, 1 1 -1
29.86, 2.992, 63.0, 1 1 1
31.94, 2.802, 100.0, 0 1 2
32.56, 2.750, 56.3, 2 0 -1
32.86, 2.726, 54.6, 2 0 1
35.71, 2.515, 34.9, 1 1 2
58.14, 1.587, 34.9, 2 2 -1

Structural model:
a = 5.8198 Å, b = 3.8844 Å, c = 8.0898 Å
α = 90.00°, β = 90.81°, γ = 90.00°
Space group P2_1/m (No. 11)
Inequivalent atoms, fractional coordinates:
Pr: 0.1147 0.2500 0.1803 x2
Er: 0.3860 0.2500 0.6778 x2
Si: 0.1294 0.7500 0.4671 x2
Si: 0.3780 0.7500 0.9593 x2

[11]
For Tb2Pr3Er, a cell relaxed with GGA-PBE gives the simulated XRD peak list in this record (Cu Kα, 1.54184 Å).

Top 8 peaks for 2θ = 10–90°, by angle:
2θ (°), d [Å], intensity, index
29.35, 3.043, 50.0, 3 1 1
30.72, 2.911, 35.2, 0 0 4
32.30, 2.772, 100.0, 0 2 2
36.73, 2.447, 27.6, 3 1 3
50.12, 1.820, 27.0, 6 0 0
55.62, 1.653, 21.4, 0 2 6
59.94, 1.543, 31.6, 6 0 4
60.89, 1.521, 16.2, 6 2 2

Structural model:
a = 10.9195 Å, b = 6.3046 Å, c = 11.6431 Å
α = 90.00°, β = 90.00°, γ = 90.00°
Space group Cmcm (No. 63)
Inequivalent atoms, fractional coordinates:
Tb: 0.1668 0.1667 0.2500 x8
Pr: 0.0000 0.0000 0.0000 x4
Pr: 0.1659 0.5000 0.0000 x8
Er: 0.0000 0.3330 0.7500 x4

[12]
For Pr2ErW6, a cell relaxed with GGA-PBE gives the simulated XRD peak list in this record (Cu Kα, 1.54184 Å).

Top 8 peaks for 2θ = 10–90°, by angle:
2θ (°), d [Å], intensity, index
13.03, 6.793, 18.5, 0 0 2
19.89, 4.463, 30.0, 1 0 0
29.05, 3.074, 18.1, 1 1 1
34.64, 2.589, 34.0, 1 1 3
38.96, 2.312, 100.0, 1 1 4
40.42, 2.232, 50.1, 2 0 0
40.99, 2.202, 17.7, 2 0 1
72.53, 1.303, 32.7, 3 1 4

Structural model:
a = 4.4631 Å, b = 4.4631 Å, c = 13.5869 Å
α = 90.00°, β = 90.00°, γ = 90.00°
Space group P4/mmm (No. 123)
Inequivalent atoms, fractional coordinates:
Pr: 0.0000 0.0000 0.2234 x2
Er: 0.5000 0.5000 0.5000 x1
W: 0.0000 0.0000 0.0000 x1
W: 0.0000 0.0000 0.5000 x1
W: 0.0000 0.5000 0.3835 x4